Calculated PXRD pattern
Compound: Li8V11O22
Radiation: copper Kα
Structure: a crystal structure in Alexandria, relaxed with GGA+U

The 12 most intense peaks (2θ = 10–90°), low angle first:
index	two_theta	d [Å]	I/Imax
0 1 -2	18.0	4.929	100.0
2 0 -1	34.9	2.570	11.9
1 2 1	35.4	2.534	23.5
1 3 -1	36.8	2.441	4.8
2 1 -3	42.2	2.143	24.9
1 -4 2	42.9	2.109	23.7
1 1 3	43.0	2.102	23.2
2 2 -5	55.6	1.652	5.0
1 5 -5	61.5	1.508	6.2
1 0 -6	61.6	1.505	6.1
-3 3 1	62.0	1.497	18.9
0 5 1	62.7	1.481	6.3

Atomic structure:
Cell lengths 5.207, 8.945, 10.015 Å; angles 114.39, 95.80, 95.16 degrees
Sites, in units of the cell vectors:
Li: 0.035 0.173 0.086
Li: 0.158 0.549 0.270
Li: 0.222 0.915 0.454
Li: 0.404 0.635 0.817
Li: 0.596 0.365 0.183
Li: 0.778 0.085 0.546
Li: 0.842 0.451 0.730
Li: 0.965 0.827 0.914
V: 0.045 0.681 0.585
V: 0.156 0.051 0.779
V: 0.224 0.408 0.945
V: 0.316 0.775 0.137
V: 0.397 0.139 0.318
V: 0.500 0.500 0.500
V: 0.603 0.861 0.682
V: 0.684 0.225 0.863
V: 0.776 0.592 0.055
V: 0.844 0.949 0.221
V: 0.955 0.319 0.415
O: 0.003 0.758 0.241
O: 0.070 0.103 0.409
O: 0.084 0.616 0.943
O: 0.154 0.971 0.126
O: 0.188 0.485 0.601
O: 0.274 0.342 0.307
O: 0.277 0.841 0.775
O: 0.353 0.202 0.961
O: 0.367 0.687 0.484
O: 0.445 0.568 0.141
O: 0.464 0.057 0.671
O: 0.536 0.943 0.329
O: 0.555 0.432 0.859
O: 0.633 0.313 0.516
O: 0.647 0.798 0.039
O: 0.723 0.159 0.225
O: 0.726 0.658 0.693
O: 0.812 0.515 0.399
O: 0.846 0.029 0.874
O: 0.916 0.384 0.057
O: 0.930 0.897 0.591
O: 0.997 0.242 0.759